Theoretical X-ray powder pattern of Ba2LiV2Si4O14 for Cu Kα (weighted mean of Kα1 and Kα2), from DFT lattice parameters and positions (PBE+U).
No peak broadening, texture or thermal motion is included.

The 6 most intense peaks (2θ from 15° to 90°), in order of rising 2θ:
- 2θ = 20.9°, rel. 52
- 2θ = 22.1°, rel. 50
- 2θ = 23.2°, rel. 45
- 2θ = 25.3°, rel. 53
- 2θ = 26.2°, rel. 58
- 2θ = 29.8°, rel. 100

Structural model:
```
Ba2LiV2Si4O14
1.0
7.333 0.000 0.000
0.000 2.756 8.034
0.000 -2.756 8.034
Ba Li V Si O
2 1 2 4 14
direct
0.000 0.000 0.000
0.500 0.365 0.365
0.000 0.824 0.824
0.000 0.260 0.260
0.500 0.052 0.052
0.230 0.557 0.557
0.286 0.756 0.756
0.714 0.756 0.756
0.770 0.557 0.557
0.000 0.149 0.149
0.000 0.539 0.539
0.191 0.037 0.561
0.191 0.561 0.037
0.272 0.656 0.656
0.313 0.269 0.757
0.313 0.757 0.269
0.500 0.153 0.153
0.500 0.788 0.788
0.687 0.269 0.757
0.687 0.757 0.269
0.728 0.656 0.656
0.809 0.037 0.561
0.809 0.561 0.037
```